Starting from the GGA-PBE geometry in Alexandria, the X-ray powder pattern of Er6Tm2Pu was calculated for Cu Kα (λ = 1.5418 Å).

Top 6 peaks for 10 to 90 degrees two-theta, sorted by position:
| 2theta | Rel. int. |
| --- | --- |
| 31.4 | 100 |
| 31.5 | 33 |
| 36.5 | 45 |
| 36.5 | 22 |
| 52.5 | 32 |
| 62.6 | 28 |

Structure:
```
Er6Tm2Pu
1.0
6.038 0.000 0.000
1.016 5.954 0.000
2.016 0.673 7.474
Er Tm Pu
6 2 1
direct
0.056 0.111 0.282 Er
0.167 0.328 0.832 Er
0.391 0.779 0.939 Er
0.609 0.221 0.061 Er
0.833 0.672 0.168 Er
0.944 0.889 0.718 Er
0.284 0.554 0.390 Tm
0.716 0.446 0.610 Tm
0.500 0.000 0.500 Pu
```